Diffraction record for ZnCoP2H12O11. The X-ray diffraction stick pattern is calculated, not measured: it uses a structure optimized by DFT (PBE+U) and Cu Kα X-rays.
Neutral-atom scattering factors, no anomalous dispersion.

Atomic structure:
Cell: 7.5787 7.6411 9.5416 Å, 89.29 88.54 88.46°
Atoms (fractional coordinates):
Zn 0.9999 0.0019 0.2513
Zn 0.0001 0.9981 0.7487
Co 0.0000 0.5000 0.5000
Co 0.5000 0.0000 0.0000
P 0.1182 0.7736 0.9912
P 0.2289 0.1119 0.4842
P 0.7711 0.8881 0.5158
P 0.8818 0.2264 0.0088
H 0.0495 0.5961 0.7574
H 0.0541 0.3886 0.7690
H 0.1951 0.6032 0.9877
H 0.2382 0.7384 0.4257
H 0.2506 0.2406 0.0970
H 0.3399 0.5610 0.3837
H 0.3651 0.5119 0.7143
H 0.3894 0.0854 0.7441
H 0.4014 0.1769 0.4707
H 0.4011 0.9182 0.2627
H 0.4324 0.3248 0.1417
H 0.4839 0.3733 0.7897
H 0.5161 0.6267 0.2103
H 0.5676 0.6752 0.8583
H 0.5989 0.0818 0.7373
H 0.5986 0.8231 0.5293
H 0.6106 0.9146 0.2559
H 0.6349 0.4881 0.2857
H 0.6601 0.4390 0.6163
H 0.7494 0.7594 0.9030
H 0.7618 0.2616 0.5743
H 0.8049 0.3968 0.0123
H 0.9459 0.6114 0.2310
H 0.9505 0.4039 0.2426
O 0.0144 0.2205 0.1329
O 0.0224 0.7853 0.1359
O 0.0920 0.2543 0.4529
O 0.0969 0.4889 0.7103
O 0.2181 0.9669 0.3703
O 0.2189 0.0345 0.6349
O 0.2501 0.6124 0.4496
O 0.2562 0.9101 0.9651
O 0.3799 0.2375 0.0806
O 0.4859 0.4930 0.7487
O 0.4951 0.1212 0.7960
O 0.5049 0.8788 0.2040
O 0.5141 0.5070 0.2513
O 0.6201 0.7625 0.9194
O 0.7438 0.0899 0.0349
O 0.7499 0.3876 0.5504
O 0.7811 0.9655 0.3651
O 0.7819 0.0331 0.6297
O 0.9031 0.5111 0.2897
O 0.9080 0.7457 0.5471
O 0.9776 0.2147 0.8641
O 0.9856 0.7795 0.8671

Main lines, in order of rising 2θ (2θ = 5–70°):
| 2θ/deg | I (rel.) | hkl |
| --- | --- | --- |
| 11.63 | 100 | 0 1 0 |
| 14.76 | 17 | 0 1 1 |
| 24.99 | 14 | 1 -1 2 |
| 25.12 | 15 | 1 1 -2 |
| 25.22 | 14 | -1 1 2 |
| 28.06 | 24 | -1 2 1 |